Diffraction record for Li4Mn3CrO8. The powder diffraction line list is simulated, not measured: it uses a crystal structure in the Materials Project, relaxed with GGA+U and Cu Ka.
Neutral-atom scattering factors, no anomalous dispersion.

The 8 most intense peaks (15 to 90 degrees two-theta), sorted by position:
2theta, I (rel.), index
18.18, 1000, 2 0 -1
33.52, 195, 2 0 1
35.80, 245, 0 2 1
36.84, 125, 4 0 -2
40.34, 333, 4 0 0
43.78, 510, 2 2 -2
60.71, 161, 2 2 2
61.35, 154, 6 2 -2

```
data_Li4Mn3CrO8
_cell_length_a 10.6355
_cell_length_b 5.8229
_cell_length_c 5.8762
_cell_angle_alpha 90.00
_cell_angle_beta 122.76
_cell_angle_gamma 90.00
_space_group_name_H-M_alt 'C 1 2/m 1'
_space_group_IT_number 12
loop_
_space_group_symop_operation_xyz
'x,y,z'
'-x,-y,-z'
'-x,y,-z'
'x,-y,z'
'x+1/2,y+1/2,z'
'-x+1/2,-y+1/2,-z'
'-x+1/2,y+1/2,-z'
'x+1/2,-y+1/2,z'
loop_
_atom_site_label
_atom_site_type_symbol
_atom_site_fract_x
_atom_site_fract_y
_atom_site_fract_z
_atom_site_occupancy
Li1 Li 0.0000 0.0000 0.0000 1
Li2 Li 0.0000 0.5000 0.0000 1
Li3 Li 0.2500 0.2500 0.5000 1
Mn1 Mn 0.0000 0.0000 0.5000 1
Mn2 Mn 0.2500 0.2500 0.0000 1
Cr1 Cr 0.0000 0.5000 0.5000 1
O1 O 0.0025 0.2427 0.2703 1
O2 O 0.2306 0.5000 0.7485 1
O3 O 0.2430 0.5000 0.2156 1
```

Diffraction record for ZnCoP2H12O11. The powder diffraction line list is simulated, not measured: it uses a crystal structure in the Materials Project, relaxed with GGA+U and Cu Ka.
Neutral-atom scattering factors, no anomalous dispersion.

The 8 most intense peaks (15 to 90 degrees two-theta), sorted by position:
2theta, I (rel.), index
23.09, 445, 0 2 0
23.48, 442, 2 0 0
25.05, 627, 1 1 -2
25.15, 1000, 1 -1 2
27.23, 448, 2 1 1
27.67, 583, 2 1 -1
27.95, 781, -1 2 1
37.78, 322, 0 0 4

```
data_ZnCoP2H12O11
_cell_length_a 7.5858
_cell_length_b 7.7113
_cell_length_c 9.5289
_cell_angle_alpha 88.88
_cell_angle_beta 88.93
_cell_angle_gamma 87.62
_space_group_name_H-M_alt 'P -1'
_space_group_IT_number 2
loop_
_space_group_symop_operation_xyz
'x,y,z'
'-x,-y,-z'
loop_
_atom_site_label
_atom_site_type_symbol
_atom_site_fract_x
_atom_site_fract_y
_atom_site_fract_z
_atom_site_occupancy
Zn1 Zn 0.0007 0.0038 0.2515 1
Co1 Co 0.0000 0.5000 0.5000 1
Co2 Co 0.5000 0.0000 0.0000 1
P1 P 0.1253 0.7769 0.9915 1
P2 P 0.2283 0.1131 0.4860 1
H1 H 0.0394 0.3805 0.7722 1
H2 H 0.0413 0.5868 0.7633 1
H3 H 0.2090 0.6099 0.9882 1
H4 H 0.2346 0.7381 0.4349 1
H5 H 0.2472 0.2325 0.0937 1
H6 H 0.3368 0.5634 0.3919 1
H7 H 0.3752 0.5228 0.7070 1
H8 H 0.3887 0.0928 0.7429 1
H9 H 0.4002 0.1765 0.4720 1
H10 H 0.4023 0.9188 0.2658 1
H11 H 0.4254 0.3143 0.1431 1
H12 H 0.4909 0.3912 0.7924 1
O1 O 0.0114 0.2215 0.1309 1
O2 O 0.0354 0.7885 0.1380 1
O3 O 0.0835 0.4805 0.7143 1
O4 O 0.0921 0.2559 0.4522 1
O5 O 0.2179 0.0391 0.6380 1
O6 O 0.2182 0.9671 0.3747 1
O7 O 0.2514 0.6139 0.4613 1
O8 O 0.2566 0.9154 0.9624 1
O9 O 0.3758 0.2366 0.0742 1
O10 O 0.4945 0.5058 0.7456 1
O11 O 0.4967 0.1234 0.7943 1
```

Diffraction record for Li2V5Cr2O12. The powder diffraction line list is simulated, not measured: it uses a crystal structure in the Materials Project, relaxed with GGA+U and Cu Ka.
Neutral-atom scattering factors, no anomalous dispersion.

The 8 most intense peaks (15 to 90 degrees two-theta), sorted by position:
2theta, I (rel.), index
18.43, 576, 0 0 2
19.52, 261, 0 2 0
23.96, 407, 1 1 1
36.94, 236, 2 0 -2
42.28, 1000, 1 3 -3
44.53, 437, 2 0 2
62.76, 250, 3 3 -1
63.40, 228, 1 3 5

```
data_Li2V5Cr2O12
_cell_length_a 5.0952
_cell_length_b 9.0964
_cell_length_c 9.8678
_cell_angle_alpha 90.00
_cell_angle_beta 102.64
_cell_angle_gamma 90.00
_space_group_name_H-M_alt 'P 1 21 1'
_space_group_IT_number 4
loop_
_space_group_symop_operation_xyz
'x,y,z'
'-x,y+1/2,-z'
loop_
_atom_site_label
_atom_site_type_symbol
_atom_site_fract_x
_atom_site_fract_y
_atom_site_fract_z
_atom_site_occupancy
Li1 Li 0.0038 0.0000 0.2584 1
Li2 Li 0.2440 0.1599 0.5064 1
V1 V 0.0142 0.3252 0.2598 1
V2 V 0.2496 0.6518 0.0075 1
V3 V 0.2533 0.9967 0.9984 1
V4 V 0.2542 0.5131 0.4954 1
V5 V 0.4872 0.3175 0.7404 1
Cr1 Cr 0.2540 0.3220 0.0043 1
Cr2 Cr 0.2536 0.8317 0.5049 1
O1 O 0.0938 0.9852 0.6108 1
O2 O 0.1167 0.1658 0.1158 1
O3 O 0.1200 0.6758 0.6164 1
O4 O 0.1208 0.4798 0.1137 1
O5 O 0.1336 0.3524 0.6188 1
O6 O 0.1424 0.8336 0.1162 1
O7 O 0.3502 0.8182 0.8905 1
O8 O 0.3602 0.3513 0.3843 1
O9 O 0.3691 0.4768 0.8888 1
O10 O 0.3746 0.1684 0.8853 1
O11 O 0.3751 0.6751 0.3959 1
O12 O 0.3932 0.9753 0.3809 1
```

Diffraction record for LiCoPO4. The powder diffraction line list is simulated, not measured: it uses a crystal structure in the Materials Project, relaxed with GGA+U and Cu Ka.
Neutral-atom scattering factors, no anomalous dispersion.

The 8 most intense peaks (15 to 90 degrees two-theta), sorted by position:
2theta, I (rel.), index
18.85, 764, 0 2 1
26.56, 279, 0 3 1
28.28, 297, 0 1 3
31.85, 365, 0 2 3
32.03, 601, 1 1 -3
32.49, 1000, 2 1 0
33.50, 338, 0 4 0
35.98, 524, 1 2 3

```
data_LiCoPO4
_cell_length_a 5.7068
_cell_length_b 10.7006
_cell_length_c 9.9107
_cell_angle_alpha 90.00
_cell_angle_beta 91.69
_cell_angle_gamma 90.00
_space_group_name_H-M_alt 'P 1 21/c 1'
_space_group_IT_number 14
loop_
_space_group_symop_operation_xyz
'x,y,z'
'-x,-y,-z'
'-x,y+1/2,-z+1/2'
'x,-y+1/2,z+1/2'
loop_
_atom_site_label
_atom_site_type_symbol
_atom_site_fract_x
_atom_site_fract_y
_atom_site_fract_z
_atom_site_occupancy
Li1 Li 0.1122 0.1607 0.3593 1
Li2 Li 0.3735 0.6440 0.1165 1
Co1 Co 0.1511 0.6278 0.5073 1
Co2 Co 0.3833 0.0985 0.7653 1
P1 P 0.1236 0.6061 0.8376 1
P2 P 0.3725 0.1414 0.0907 1
O1 O 0.0935 0.0178 0.6709 1
O2 O 0.1118 0.6873 0.9685 1
O3 O 0.1329 0.6915 0.7090 1
O4 O 0.1536 0.0565 0.0751 1
O5 O 0.3337 0.2271 0.2116 1
O6 O 0.3501 0.5243 0.8488 1
O7 O 0.4008 0.5633 0.3777 1
O8 O 0.4131 0.2122 0.9568 1
```

Diffraction record for MgCo5SbO8. The powder diffraction line list is simulated, not measured: it uses a crystal structure in the Materials Project, relaxed with GGA+U and Cu Ka.
Neutral-atom scattering factors, no anomalous dispersion.

The 8 most intense peaks (15 to 90 degrees two-theta), sorted by position:
2theta, I (rel.), index
16.66, 618, 0 0 1
17.21, 356, 1 1 0
33.55, 1000, 2 2 -1
33.68, 362, 0 0 2
33.90, 389, 4 0 -1
34.81, 330, 2 2 0
40.31, 855, 2 2 -2
44.55, 329, 4 0 -3

```
data_MgCo5SbO8
_cell_length_a 10.6992
_cell_length_b 6.3045
_cell_length_c 6.3632
_cell_angle_alpha 90.00
_cell_angle_beta 123.24
_cell_angle_gamma 90.00
_space_group_name_H-M_alt 'C 1 m 1'
_space_group_IT_number 8
loop_
_space_group_symop_operation_xyz
'x,y,z'
'x,-y,z'
'x+1/2,y+1/2,z'
'x+1/2,-y+1/2,z'
loop_
_atom_site_label
_atom_site_type_symbol
_atom_site_fract_x
_atom_site_fract_y
_atom_site_fract_z
_atom_site_occupancy
Mg1 Mg 0.0000 0.0000 0.0000 1
Co1 Co 0.0580 0.2374 0.5239 1
Co2 Co 0.2386 0.5000 0.9757 1
Co3 Co 0.3075 0.0000 0.4001 1
Co4 Co 0.4128 0.0000 0.9178 1
Sb1 Sb 0.2878 0.5000 0.4907 1
O1 O 0.0185 0.5000 0.7128 1
O2 O 0.0270 0.0000 0.7169 1
O3 O 0.0527 0.5000 0.2963 1
O4 O 0.1117 0.0000 0.3632 1
O5 O 0.3080 0.2850 0.2674 1
O6 O 0.3179 0.2880 0.8097 1
```

Diffraction record for Li3MnPCO7. The powder diffraction line list is simulated, not measured: it uses a crystal structure in the Materials Project, relaxed with GGA+U and Cu Ka.
Neutral-atom scattering factors, no anomalous dispersion.

The 8 most intense peaks (15 to 90 degrees two-theta), sorted by position:
2theta, I (rel.), index
15.35, 307, 0 1 1
20.20, 299, 1 0 -1
21.76, 198, 1 -1 0
22.84, 221, 1 1 1
24.92, 243, 1 -1 1
26.98, 1000, 0 2 0
27.22, 270, 1 0 -2
41.85, 248, 0 0 4

```
data_Li3MnPCO7
_cell_length_a 5.1945
_cell_length_b 6.7200
_cell_length_c 8.7811
_cell_angle_alpha 79.63
_cell_angle_beta 88.42
_cell_angle_gamma 89.83
_space_group_name_H-M_alt 'P -1'
_space_group_IT_number 2
loop_
_space_group_symop_operation_xyz
'x,y,z'
'-x,-y,-z'
loop_
_atom_site_label
_atom_site_type_symbol
_atom_site_fract_x
_atom_site_fract_y
_atom_site_fract_z
_atom_site_occupancy
Li1 Li 0.0381 0.2383 0.2461 1
Li2 Li 0.3242 0.8832 0.2709 1
Li3 Li 0.4329 0.4907 0.2858 1
Mn1 Mn 0.1506 0.2580 0.8683 1
P1 P 0.3481 0.7570 0.9256 1
C1 C 0.1969 0.2731 0.5568 1
O1 O 0.0294 0.7460 0.3790 1
O2 O 0.1886 0.9427 0.8502 1
O3 O 0.2398 0.2759 0.4115 1
O4 O 0.2612 0.5824 0.8419 1
O5 O 0.2724 0.7058 0.1019 1
O6 O 0.3566 0.2026 0.0967 1
O7 O 0.3915 0.2905 0.6474 1
```

Diffraction record for Mn6O5F7. The powder diffraction line list is simulated, not measured: it uses a crystal structure in the Materials Project, relaxed with GGA+U and Cu Ka.
Neutral-atom scattering factors, no anomalous dispersion.

The 8 most intense peaks (15 to 90 degrees two-theta), sorted by position:
2theta, I (rel.), index
23.42, 1000, 1 1 0
25.32, 736, 1 -1 0
28.69, 818, 1 1 3
29.55, 786, 1 1 -3
30.62, 722, 1 -1 3
30.78, 746, -1 1 3
51.71, 722, 2 0 6
52.95, 369, 2 0 -6

```
data_Mn6O5F7
_cell_length_a 4.7454
_cell_length_b 5.7573
_cell_length_c 15.5955
_cell_angle_alpha 88.83
_cell_angle_beta 88.61
_cell_angle_gamma 85.49
_space_group_name_H-M_alt 'P 1'
_space_group_IT_number 1
loop_
_space_group_symop_operation_xyz
'x,y,z'
loop_
_atom_site_label
_atom_site_type_symbol
_atom_site_fract_x
_atom_site_fract_y
_atom_site_fract_z
_atom_site_occupancy
Mn1 Mn 0.0000 0.0000 0.0000 1
Mn2 Mn 0.9999 0.3329 0.8279 1
Mn3 Mn 0.0077 0.9921 0.3374 1
Mn4 Mn 0.0255 0.3233 0.1583 1
Mn5 Mn 0.0373 0.0126 0.6657 1
Mn6 Mn 0.5151 0.8070 0.8434 1
Mn7 Mn 0.5316 0.8080 0.5039 1
Mn8 Mn 0.5330 0.5275 0.3379 1
Mn9 Mn 0.5347 0.8211 0.1698 1
Mn10 Mn 0.5454 0.5128 0.6613 1
Mn11 Mn 0.5577 0.5280 0.0006 1
Mn12 Mn 0.9930 0.3259 0.4930 1
O1 O 0.2925 0.7675 0.9474 1
O2 O 0.3098 0.7785 0.2771 1
O3 O 0.3167 0.7820 0.6125 1
O4 O 0.7371 0.7725 0.3951 1
O5 O 0.7438 0.5552 0.8913 1
O6 O 0.7527 0.5482 0.5551 1
O7 O 0.7550 0.7798 0.0625 1
O8 O 0.7921 0.2811 0.3909 1
O9 O 0.7991 0.2786 0.0515 1
O10 O 0.8117 0.2833 0.7171 1
F1 F 0.2398 0.2644 0.9365 1
F2 F 0.2460 0.2816 0.5974 1
F3 F 0.2595 0.0509 0.4491 1
F4 F 0.2658 0.0409 0.7793 1
F5 F 0.2675 0.0442 0.1095 1
F6 F 0.2679 0.2861 0.2763 1
F7 F 0.2727 0.5521 0.4438 1
F8 F 0.3067 0.5384 0.7684 1
F9 F 0.3202 0.5438 0.1086 1
F10 F 0.7656 0.7858 0.7351 1
F11 F 0.7756 0.5551 0.2255 1
F12 F 0.7860 0.0535 0.8848 1
F13 F 0.7961 0.0464 0.5591 1
F14 F 0.7987 0.0538 0.2215 1
```

Diffraction record for CsFeP2O7. The powder diffraction line list is simulated, not measured: it uses a crystal structure in the Materials Project, relaxed with GGA+U and Cu Ka.
Neutral-atom scattering factors, no anomalous dispersion.

The 8 most intense peaks (15 to 90 degrees two-theta), sorted by position:
2theta, I (rel.), index
23.54, 620, 2 0 0
25.17, 332, 1 2 1
27.96, 268, 0 2 2
28.10, 210, 1 2 -2
28.65, 1000, 1 1 2
29.03, 985, 1 3 0
29.29, 495, 2 2 -1
57.76, 191, 3 5 -1

```
data_CsFeP2O7
_cell_length_a 7.8087
_cell_length_b 10.1128
_cell_length_c 8.5150
_cell_angle_alpha 90.00
_cell_angle_beta 104.96
_cell_angle_gamma 90.00
_space_group_name_H-M_alt 'P 1 21/c 1'
_space_group_IT_number 14
loop_
_space_group_symop_operation_xyz
'x,y,z'
'-x,-y,-z'
'-x,y+1/2,-z+1/2'
'x,-y+1/2,z+1/2'
loop_
_atom_site_label
_atom_site_type_symbol
_atom_site_fract_x
_atom_site_fract_y
_atom_site_fract_z
_atom_site_occupancy
Cs1 Cs 0.1981 0.2060 0.0380 1
Fe1 Fe 0.2406 0.6011 0.2579 1
P1 P 0.1307 0.5931 0.8336 1
P2 P 0.4221 0.6251 0.6810 1
O1 O 0.0139 0.0008 0.7645 1
O2 O 0.0933 0.7354 0.7701 1
O3 O 0.1602 0.5806 0.0158 1
O4 O 0.3144 0.5457 0.7933 1
O5 O 0.3203 0.6001 0.5055 1
O6 O 0.3914 0.0655 0.7714 1
O7 O 0.4319 0.7287 0.2323 1
```